[1]
AcCeIn4: calculated PXRD pattern (Cu Ka), based on a GGA-PBE-relaxed structure.

Structure:
a b c (Å): 6.211 6.211 6.211
angles (deg): 60.00 60.00 60.00
Positions (direct):
Ac 0.000 0.000 0.000
Ce 0.750 0.750 0.750
In 0.375 0.375 0.375
In 0.375 0.375 0.874
In 0.375 0.874 0.375
In 0.874 0.375 0.375

The 6 most intense peaks (10° ≤ 2θ ≤ 90°), by angle:
2θ 28.75, d 3.106, intensity 41
2θ 33.85, d 2.648, intensity 100
2θ 35.40, d 2.536, intensity 28
2θ 54.26, d 1.690, intensity 35
2θ 59.53, d 1.553, intensity 27
2θ 84.77, d 1.144, intensity 22

[2]
Rb2SmGeS4: calculated PXRD pattern (Cu Ka), based on a GGA-PBE-relaxed structure.

Structure:
a b c (Å): 14.361 12.856 7.948
angles (deg): 83.76 62.86 33.38
Positions (direct):
Rb 0.060 0.060 0.690
Rb 0.310 0.310 0.940
Rb 0.690 0.690 0.060
Rb 0.940 0.940 0.310
Sm 0.125 0.125 0.125
Sm 0.875 0.875 0.875
Ge 0.375 0.375 0.375
Ge 0.625 0.625 0.625
S 0.007 0.643 0.549
S 0.301 0.549 0.643
S 0.357 0.993 0.699
S 0.451 0.699 0.993
S 0.549 0.301 0.007
S 0.643 0.007 0.301
S 0.699 0.451 0.357
S 0.993 0.357 0.451

The 6 most intense peaks (10° ≤ 2θ ≤ 90°), by angle:
2θ 14.24, d 6.220, intensity 100
2θ 23.11, d 3.848, intensity 35
2θ 24.80, d 3.590, intensity 59
2θ 29.11, d 3.067, intensity 46
2θ 29.52, d 3.026, intensity 40
2θ 34.55, d 2.596, intensity 33

[3]
ZrAlV: calculated PXRD pattern (Cu Ka), based on a GGA-PBE-relaxed structure.

Structure:
a b c (Å): 3.133 3.133 10.660
angles (deg): 90.00 90.00 90.00
Positions (direct):
Zr 0.000 0.000 0.000
Zr 0.000 0.000 0.376
Al 0.500 0.500 0.185
Al 0.500 0.500 0.811
V 0.000 0.000 0.663
V 0.500 0.500 0.552

The 6 most intense peaks (10° ≤ 2θ ≤ 90°), by angle:
2θ 28.49, d 3.133, intensity 21
2θ 33.17, d 2.701, intensity 18
2θ 38.30, d 2.350, intensity 100
2θ 40.73, d 2.215, intensity 53
2θ 58.97, d 1.566, intensity 17
2θ 72.53, d 1.303, intensity 28

[4]
Ac4BiSbSe2: calculated PXRD pattern (Cu Ka), based on a GGA-PBE-relaxed structure.

Structure:
a b c (Å): 8.003 4.686 8.106
angles (deg): 90.00 109.77 90.00
Positions (direct):
Ac 0.236 0.000 0.242
Ac 0.239 0.500 0.750
Ac 0.761 0.500 0.250
Ac 0.764 0.000 0.758
Bi 0.500 0.500 0.500
Sb 0.500 0.000 0.000
Se 0.000 0.000 0.500
Se 0.000 0.500 0.000

The 6 most intense peaks (10° ≤ 2θ ≤ 90°), by angle:
2θ 27.07, d 3.294, intensity 100
2θ 38.44, d 2.342, intensity 40
2θ 38.86, d 2.318, intensity 38
2θ 47.65, d 1.909, intensity 22
2θ 62.81, d 1.479, intensity 19
2θ 63.39, d 1.467, intensity 18

[5]
Ho5Si3: calculated PXRD pattern (Cu Ka), based on a GGA-PBE-relaxed structure.

Structure:
a b c (Å): 8.400 8.400 6.326
angles (deg): 90.00 90.00 120.00
Positions (direct):
Ho 0.000 0.243 0.250
Ho 0.000 0.757 0.750
Ho 0.243 0.000 0.250
Ho 0.243 0.243 0.750
Ho 0.333 0.667 0.000
Ho 0.333 0.667 0.500
Ho 0.667 0.333 0.000
Ho 0.667 0.333 0.500
Ho 0.757 0.000 0.750
Ho 0.757 0.757 0.250
Si 0.000 0.395 0.750
Si 0.000 0.605 0.250
Si 0.395 0.000 0.750
Si 0.395 0.395 0.250
Si 0.605 0.000 0.250
Si 0.605 0.605 0.750

The 6 most intense peaks (10° ≤ 2θ ≤ 90°), by angle:
2θ 24.47, d 3.637, intensity 19
2θ 25.46, d 3.499, intensity 26
2θ 30.82, d 2.901, intensity 28
2θ 32.57, d 2.749, intensity 28
2θ 35.57, d 2.524, intensity 100
2θ 37.08, d 2.425, intensity 20

[6]
Mg14VGa: calculated PXRD pattern (Cu Ka), based on a GGA-PBE-relaxed structure.

Structure:
a b c (Å): 6.265 6.265 10.199
angles (deg): 90.00 90.00 120.00
Positions (direct):
Mg 0.000 0.000 0.248
Mg 0.000 0.000 0.752
Mg 0.008 0.504 0.247
Mg 0.008 0.504 0.753
Mg 0.332 0.166 0.500
Mg 0.334 0.167 0.000
Mg 0.496 0.504 0.247
Mg 0.496 0.504 0.753
Mg 0.496 0.992 0.247
Mg 0.496 0.992 0.753
Mg 0.833 0.167 0.000
Mg 0.833 0.666 0.000
Mg 0.834 0.166 0.500
Mg 0.834 0.668 0.500
V 0.333 0.667 0.000
Ga 0.333 0.667 0.500

The 6 most intense peaks (10° ≤ 2θ ≤ 90°), by angle:
2θ 33.02, d 2.713, intensity 25
2θ 35.20, d 2.550, intensity 27
2θ 37.55, d 2.395, intensity 100
2θ 58.97, d 1.566, intensity 17
2θ 64.71, d 1.440, intensity 19
2θ 70.57, d 1.335, intensity 19

[7]
PrPd4Au2: calculated PXRD pattern (Cu Ka), based on a GGA-PBE-relaxed structure.

Structure:
a b c (Å): 5.584 5.584 5.495
angles (deg): 119.24 119.24 76.06
Positions (direct):
Pr 0.000 0.000 0.000
Pd 0.000 0.397 0.699
Pd 0.000 0.603 0.301
Pd 0.397 0.000 0.699
Pd 0.603 0.000 0.301
Au 0.500 0.500 0.250
Au 0.500 0.500 0.750

The 6 most intense peaks (10° ≤ 2θ ≤ 90°), by angle:
2θ 18.21, d 4.872, intensity 36
2θ 36.90, d 2.436, intensity 100
2θ 37.52, d 2.397, intensity 49
2θ 37.65, d 2.389, intensity 49
2θ 42.12, d 2.146, intensity 56
2θ 42.72, d 2.117, intensity 37

[8]
Li4Cu3SnP4O16: calculated PXRD pattern (Cu Ka), based on a GGA-PBE-relaxed structure.

Structure:
a b c (Å): 4.843 5.993 10.869
angles (deg): 90.00 93.75 90.00
Positions (direct):
Li 0.000 0.237 0.000
Li 0.000 0.763 0.000
Li 0.468 0.237 0.558
Li 0.468 0.763 0.558
Cu 0.012 0.000 0.348
Cu 0.473 0.000 0.811
Cu 0.981 0.500 0.745
Sn 0.506 0.500 0.225
P 0.097 0.500 0.400
P 0.412 0.500 0.923
P 0.571 0.000 0.101
P 0.908 0.000 0.624
O 0.216 0.500 0.533
O 0.221 0.298 0.327
O 0.221 0.702 0.327
O 0.229 0.000 0.627
O 0.259 0.000 0.090
O 0.275 0.296 0.854
O 0.275 0.704 0.854
O 0.278 0.500 0.056
O 0.700 0.208 0.176
O 0.700 0.792 0.176
O 0.711 0.000 0.977
O 0.725 0.500 0.941
O 0.770 0.000 0.489
O 0.777 0.500 0.388
O 0.788 0.211 0.687
O 0.788 0.789 0.687

The 6 most intense peaks (10° ≤ 2θ ≤ 90°), by angle:
2θ 16.35, d 5.423, intensity 51
2θ 19.62, d 4.525, intensity 39
2θ 24.65, d 3.611, intensity 56
2θ 25.46, d 3.499, intensity 70
2θ 29.84, d 2.994, intensity 100
2θ 33.49, d 2.676, intensity 46